(1)
This entry pairs a crystal structure of Pr2Ga12Pt with its calculated PXRD pattern. Radiation: Cu Ka. Structure: a GGA-PBE-relaxed structure.
Kinematic intensities with the Lorentz-polarization factor, no thermal factor.

Most intense lines, 15 to 90 degrees two-theta, by intensity:
- 2.191 Å, 2θ 41.21, intensity 100.0
- 2.904 Å, 2θ 30.79, intensity 75.3
- 2.876 Å, 2θ 31.09, intensity 50.5
- 2.420 Å, 2θ 37.15, intensity 43.8
- 1.748 Å, 2θ 52.33, intensity 38.0
- 1.378 Å, 2θ 68.02, intensity 24.9
- 1.985 Å, 2θ 45.70, intensity 24.6
- 4.380 Å, 2θ 20.28, intensity 20.0
- 1.943 Å, 2θ 46.75, intensity 18.8
- 3.098 Å, 2θ 28.81, intensity 18.3

abc: 6.194 6.194 15.519
angles: 90.00 90.00 90.00
Fractional positions:
Pr  0.250  0.750  0.244
Pr  0.250  0.750  0.756
Pr  0.750  0.250  0.244
Pr  0.750  0.250  0.756
Ga  0.000  0.000  0.089
Ga  0.000  0.000  0.911
Ga  0.000  0.500  0.089
Ga  0.000  0.500  0.911
Ga  0.081  0.581  0.431
Ga  0.081  0.919  0.569
Ga  0.250  0.250  0.187
Ga  0.250  0.250  0.347
Ga  0.250  0.250  0.653
Ga  0.250  0.250  0.813
Ga  0.419  0.581  0.569
Ga  0.419  0.919  0.431
Ga  0.500  0.000  0.089
Ga  0.500  0.000  0.911
Ga  0.500  0.500  0.089
Ga  0.500  0.500  0.911
Ga  0.581  0.081  0.569
Ga  0.581  0.419  0.431
Ga  0.750  0.750  0.187
Ga  0.750  0.750  0.347
Ga  0.750  0.750  0.653
Ga  0.750  0.750  0.813
Ga  0.919  0.081  0.431
Ga  0.919  0.419  0.569
Pt  0.250  0.750  0.000
Pt  0.750  0.250  0.000

(2)
This entry pairs a crystal structure of Cs2Se4I5 with its calculated PXRD pattern. Radiation: Cu Ka. Structure: a GGA-PBE-relaxed structure.
Kinematic intensities with the Lorentz-polarization factor, no thermal factor.

Most intense lines, 15 to 90 degrees two-theta, by intensity:
- 3.737 Å, 2θ 23.81, intensity 100.0
- 3.647 Å, 2θ 24.41, intensity 71.2
- 3.866 Å, 2θ 23.01, intensity 67.8
- 2.961 Å, 2θ 30.18, intensity 56.7
- 3.423 Å, 2θ 26.03, intensity 51.7
- 3.262 Å, 2θ 27.34, intensity 39.5
- 5.605 Å, 2θ 15.81, intensity 38.6
- 1.927 Å, 2θ 47.16, intensity 34.8
- 2.362 Å, 2θ 38.10, intensity 34.0
- 2.489 Å, 2θ 36.09, intensity 32.7

abc: 7.949 7.949 11.401
angles: 98.56 98.56 70.21
Fractional positions:
Cs  0.127  0.127  0.341
Cs  0.873  0.873  0.659
Se  0.421  0.421  0.753
Se  0.443  0.443  0.345
Se  0.557  0.557  0.655
Se  0.579  0.579  0.247
I  0.064  0.660  0.344
I  0.340  0.936  0.656
I  0.500  0.500  0.000
I  0.660  0.064  0.344
I  0.936  0.340  0.656

(3)
This entry pairs a crystal structure of Dy4Tm3Sc2 with its calculated PXRD pattern. Radiation: Cu Ka. Structure: a GGA-PBE-relaxed structure.
Kinematic intensities with the Lorentz-polarization factor, no thermal factor.

Most intense lines, 15 to 90 degrees two-theta, by intensity:
- 2.775 Å, 2θ 32.26, intensity 100.0
- 2.720 Å, 2θ 32.93, intensity 96.8
- 2.766 Å, 2θ 32.37, intensity 58.0
- 2.746 Å, 2θ 32.61, intensity 45.3
- 1.949 Å, 2θ 46.61, intensity 37.5
- 1.448 Å, 2θ 64.31, intensity 28.0
- 1.578 Å, 2θ 58.51, intensity 22.7
- 2.831 Å, 2θ 31.61, intensity 21.0
- 1.937 Å, 2θ 46.92, intensity 15.3
- 1.591 Å, 2θ 57.98, intensity 14.8

abc: 9.482 9.482 6.845
angles: 90.03 90.03 59.39
Fractional positions:
Dy  0.150  0.815  0.000
Dy  0.159  0.522  0.500
Dy  0.185  0.850  0.500
Dy  0.478  0.841  0.000
Dy  0.522  0.159  0.000
Dy  0.815  0.150  0.500
Dy  0.841  0.478  0.500
Dy  0.850  0.185  0.000
Tm  0.172  0.173  0.750
Tm  0.173  0.172  0.250
Tm  0.500  0.500  0.250
Tm  0.500  0.500  0.750
Tm  0.827  0.828  0.750
Tm  0.828  0.827  0.250
Sc  0.172  0.476  0.000
Sc  0.476  0.172  0.500
Sc  0.524  0.828  0.500
Sc  0.828  0.524  0.000

(4)
This entry pairs a crystal structure of Na4Pm2Cl9 with its calculated PXRD pattern. Radiation: Cu Ka. Structure: a GGA-PBE-relaxed structure.
Kinematic intensities with the Lorentz-polarization factor, no thermal factor.

Most intense lines, 15 to 90 degrees two-theta, by intensity:
- 2.371 Å, 2θ 37.95, intensity 100.0
- 3.125 Å, 2θ 28.56, intensity 79.4
- 2.079 Å, 2θ 43.54, intensity 59.7
- 5.205 Å, 2θ 17.03, intensity 56.4
- 3.768 Å, 2θ 23.61, intensity 41.4
- 2.109 Å, 2θ 42.87, intensity 31.9
- 2.812 Å, 2θ 31.82, intensity 30.7
- 3.601 Å, 2θ 24.73, intensity 30.5
- 2.603 Å, 2θ 34.45, intensity 21.9
- 3.764 Å, 2θ 23.64, intensity 20.8

abc: 7.197 7.200 18.904
angles: 89.98 89.93 60.06
Fractional positions:
Na  0.165  0.167  0.177
Na  0.166  0.166  0.984
Na  0.167  0.166  0.483
Na  0.168  0.166  0.678
Na  0.832  0.834  0.322
Na  0.833  0.834  0.517
Na  0.834  0.834  0.016
Na  0.835  0.833  0.823
Pm  0.499  0.502  0.157
Pm  0.500  0.498  0.344
Pm  0.500  0.502  0.656
Pm  0.501  0.498  0.843
Cl  0.150  0.529  0.414
Cl  0.153  0.820  0.913
Cl  0.178  0.475  0.086
Cl  0.179  0.850  0.587
Cl  0.190  0.501  0.750
Cl  0.190  0.811  0.250
Cl  0.471  0.181  0.586
Cl  0.472  0.850  0.086
Cl  0.498  0.190  0.250
Cl  0.502  0.810  0.750
Cl  0.528  0.150  0.914
Cl  0.529  0.819  0.414
Cl  0.810  0.189  0.750
Cl  0.810  0.499  0.250
Cl  0.821  0.150  0.413
Cl  0.822  0.525  0.914
Cl  0.847  0.180  0.087
Cl  0.850  0.471  0.586

(5)
This entry pairs a crystal structure of Ni2IrPtN with its calculated PXRD pattern. Radiation: Cu Ka. Structure: a GGA-PBE-relaxed structure.
Kinematic intensities with the Lorentz-polarization factor, no thermal factor.

Most intense lines, 15 to 90 degrees two-theta, by intensity:
- 2.263 Å, 2θ 39.84, intensity 100.0
- 1.954 Å, 2θ 46.47, intensity 35.5
- 1.179 Å, 2θ 81.65, intensity 25.0
- 2.764 Å, 2θ 32.40, intensity 24.3
- 3.941 Å, 2θ 22.56, intensity 23.2
- 1.387 Å, 2θ 67.51, intensity 22.8
- 1.970 Å, 2θ 46.06, intensity 18.2
- 1.186 Å, 2θ 81.05, intensity 12.7
- 1.131 Å, 2θ 85.91, intensity 12.0
- 1.382 Å, 2θ 67.82, intensity 11.2

abc: 3.908 3.908 3.941
angles: 90.00 90.00 90.00
Fractional positions:
Ni  0.000  0.500  0.000
Ni  0.500  0.000  0.000
Ir  0.000  0.000  0.500
Pt  0.500  0.500  0.500
N  0.000  0.000  0.000

(6)
This entry pairs a crystal structure of DyTiSe2 with its calculated PXRD pattern. Radiation: Cu Ka. Structure: a GGA-PBE-relaxed structure.
Kinematic intensities with the Lorentz-polarization factor, no thermal factor.

Most intense lines, 15 to 90 degrees two-theta, by intensity:
- 2.558 Å, 2θ 35.08, intensity 100.0
- 1.906 Å, 2θ 47.72, intensity 53.2
- 2.765 Å, 2θ 32.38, intensity 48.0
- 2.175 Å, 2θ 41.52, intensity 36.8
- 3.258 Å, 2θ 27.37, intensity 34.8
- 3.138 Å, 2θ 28.44, intensity 30.7
- 1.263 Å, 2θ 75.23, intensity 21.3
- 1.528 Å, 2θ 60.58, intensity 19.9
- 1.192 Å, 2θ 80.57, intensity 17.5
- 1.454 Å, 2θ 64.04, intensity 13.0

abc: 7.096 7.096 7.096
angles: 31.16 31.16 31.16
Fractional positions:
Dy  0.000  0.000  0.000
Ti  0.175  0.175  0.175
Se  0.576  0.576  0.576
Se  0.761  0.761  0.761

(7)
This entry pairs a crystal structure of KMgSe with its calculated PXRD pattern. Radiation: Cu Ka. Structure: a GGA-PBE-relaxed structure.
Kinematic intensities with the Lorentz-polarization factor, no thermal factor.

Most intense lines, 15 to 90 degrees two-theta, by intensity:
- 3.153 Å, 2θ 28.30, intensity 100.0
- 2.633 Å, 2θ 34.04, intensity 45.2
- 2.677 Å, 2θ 33.47, intensity 40.9
- 5.716 Å, 2θ 15.50, intensity 28.9
- 2.734 Å, 2θ 32.75, intensity 27.5
- 2.097 Å, 2θ 43.15, intensity 22.2
- 2.900 Å, 2θ 30.83, intensity 21.8
- 3.542 Å, 2θ 25.14, intensity 21.1
- 5.076 Å, 2θ 17.47, intensity 19.2
- 3.716 Å, 2θ 23.95, intensity 19.1

abc: 6.246 6.246 8.212
angles: 118.45 118.45 39.23
Fractional positions:
K  0.069  0.069  0.358
K  0.931  0.931  0.642
Mg  0.351  0.351  0.950
Mg  0.649  0.649  0.050
Se  0.305  0.305  0.245
Se  0.695  0.695  0.755

(8)
This entry pairs a crystal structure of MgAl4Tl4O12 with its calculated PXRD pattern. Radiation: Cu Ka. Structure: a GGA-PBE-relaxed structure.
Kinematic intensities with the Lorentz-polarization factor, no thermal factor.

Most intense lines, 15 to 90 degrees two-theta, by intensity:
- 4.057 Å, 2θ 21.91, intensity 100.0
- 4.496 Å, 2θ 19.75, intensity 87.9
- 3.408 Å, 2θ 26.15, intensity 75.7
- 2.766 Å, 2θ 32.36, intensity 65.5
- 3.889 Å, 2θ 22.86, intensity 64.9
- 2.757 Å, 2θ 32.47, intensity 63.2
- 3.987 Å, 2θ 22.30, intensity 59.6
- 2.712 Å, 2θ 33.03, intensity 59.0
- 2.577 Å, 2θ 34.82, intensity 57.3
- 2.610 Å, 2θ 34.36, intensity 48.7

abc: 5.522 6.127 9.404
angles: 73.17 87.09 88.33
Fractional positions:
Mg  0.000  0.000  0.000
Al  0.354  0.875  0.823
Al  0.459  0.158  0.456
Al  0.873  0.592  0.789
Al  0.970  0.852  0.410
Tl  0.046  0.440  0.200
Tl  0.430  0.595  0.572
Tl  0.493  0.958  0.198
Tl  0.951  0.210  0.636
O  0.011  0.626  0.604
O  0.029  0.799  0.850
O  0.121  0.093  0.447
O  0.245  0.704  0.353
O  0.360  0.950  0.988
O  0.364  0.122  0.665
O  0.464  0.274  0.253
O  0.553  0.660  0.789
O  0.656  0.910  0.474
O  0.673  0.378  0.478
O  0.885  0.914  0.209
O  0.905  0.290  0.857

Which formula does entry 7 have?
KMgSe

Copy entry 5 word for word.
This entry pairs a crystal structure of Ni2IrPtN with its calculated PXRD pattern. Radiation: Cu Ka. Structure: a GGA-PBE-relaxed structure.
Kinematic intensities with the Lorentz-polarization factor, no thermal factor.

Most intense lines, 15 to 90 degrees two-theta, by intensity:
- 2.263 Å, 2θ 39.84, intensity 100.0
- 1.954 Å, 2θ 46.47, intensity 35.5
- 1.179 Å, 2θ 81.65, intensity 25.0
- 2.764 Å, 2θ 32.40, intensity 24.3
- 3.941 Å, 2θ 22.56, intensity 23.2
- 1.387 Å, 2θ 67.51, intensity 22.8
- 1.970 Å, 2θ 46.06, intensity 18.2
- 1.186 Å, 2θ 81.05, intensity 12.7
- 1.131 Å, 2θ 85.91, intensity 12.0
- 1.382 Å, 2θ 67.82, intensity 11.2

abc: 3.908 3.908 3.941
angles: 90.00 90.00 90.00
Fractional positions:
Ni  0.000  0.500  0.000
Ni  0.500  0.000  0.000
Ir  0.000  0.000  0.500
Pt  0.500  0.500  0.500
N  0.000  0.000  0.000